Record 1
Computed powder XRD pattern
Compound: Nd2TiAlPt6
Radiation: copper Kα
Structure: DFT lattice parameters and positions (GGA-PBE)
Lines closer than 0.1° are merged.

Largest 6 diffraction maxima, sorted by position, 5 to 70 degrees two-theta:
23.39 deg, rel. 70; 36.95 deg, rel. 100; 39.48 deg, rel. 89; 48.53 deg, rel. 31; 64.85 deg, rel. 25; 69.95 deg, rel. 22

Unit cell a=8.3002 b=8.3002 c=8.3002 alpha=40.54 beta=40.54 gamma=40.54
Fractional positions:
Nd: 0.2082 0.2082 0.2082
Nd: 0.7918 0.7918 0.7918
Ti: 0.5000 0.5000 0.5000
Al: 0.0000 0.0000 0.0000
Pt: 0.2479 0.7506 0.7506
Pt: 0.2494 0.2494 0.7521
Pt: 0.2494 0.7521 0.2494
Pt: 0.7506 0.2479 0.7506
Pt: 0.7506 0.7506 0.2479
Pt: 0.7521 0.2494 0.2494

Record 2
Computed powder XRD pattern
Compound: HfCd2GeO6
Radiation: copper Kα
Structure: DFT lattice parameters and positions (GGA-PBE)
Lines closer than 0.1° are merged.

Largest 6 diffraction maxima, sorted by position, 5 to 70 degrees two-theta:
30.47 deg, rel. 100; 33.55 deg, rel. 39; 38.67 deg, rel. 11; 48.17 deg, rel. 23; 52.10 deg, rel. 21; 58.08 deg, rel. 32

Unit cell a=5.3428 b=5.3428 c=4.6574 alpha=90.00 beta=90.00 gamma=90.00
Fractional positions:
Hf: 0.0000 0.0000 0.0000
Cd: 0.0000 0.5000 0.4249
Cd: 0.5000 0.0000 0.4249
Ge: 0.5000 0.5000 0.0010
O: 0.0000 0.0000 0.5808
O: 0.2617 0.2617 0.1130
O: 0.2617 0.7383 0.1130
O: 0.5000 0.5000 0.6202
O: 0.7383 0.2617 0.1130
O: 0.7383 0.7383 0.1130

Record 3
Computed powder XRD pattern
Compound: Na4Sn5O12
Radiation: copper Kα
Structure: DFT lattice parameters and positions (GGA-PBE)
Lines closer than 0.1° are merged.

Largest 6 diffraction maxima, sorted by position, 5 to 70 degrees two-theta:
16.37 deg, rel. 100; 19.09 deg, rel. 28; 32.25 deg, rel. 48; 32.84 deg, rel. 33; 33.09 deg, rel. 28; 38.44 deg, rel. 28

Unit cell a=5.9256 b=10.3104 c=10.9106 alpha=72.68 beta=76.88 gamma=78.49
Fractional positions:
Na: 0.1369 0.4096 0.4028
Na: 0.2748 0.9031 0.0243
Na: 0.3055 0.7839 0.5504
Na: 0.3485 0.5743 0.1114
Na: 0.6515 0.4257 0.8886
Na: 0.6945 0.2161 0.4496
Na: 0.7252 0.0969 0.9757
Na: 0.8631 0.5904 0.5972
Sn: 0.1164 0.5928 0.8520
Sn: 0.1872 0.2570 0.9341
Sn: 0.2104 0.1006 0.6867
Sn: 0.2423 0.0972 0.2637
Sn: 0.4067 0.4223 0.6447
Sn: 0.5933 0.5777 0.3553
Sn: 0.7577 0.9028 0.7363
Sn: 0.7896 0.8994 0.3133
Sn: 0.8128 0.7430 0.0659
Sn: 0.8836 0.4072 0.1480
O: 0.0445 0.2648 0.2970
O: 0.0554 0.9453 0.3694
O: 0.0625 0.4305 0.7794
O: 0.1082 0.1023 0.8703
O: 0.1389 0.7325 0.9481
O: 0.2212 0.4229 0.0114
O: 0.2762 0.5665 0.4855
O: 0.3223 0.2693 0.5718
O: 0.3389 0.1026 0.0783
O: 0.4347 0.5779 0.7294
O: 0.4707 0.9483 0.6570
O: 0.4984 0.7290 0.1916
O: 0.5016 0.2710 0.8084
O: 0.5293 0.0517 0.3430
O: 0.5653 0.4221 0.2706
O: 0.6611 0.8974 0.9217
O: 0.6777 0.7307 0.4282
O: 0.7238 0.4335 0.5145
O: 0.7788 0.5771 0.9886
O: 0.8611 0.2675 0.0519
O: 0.8918 0.8977 0.1297
O: 0.9375 0.5695 0.2206
O: 0.9446 0.0547 0.6306
O: 0.9555 0.7352 0.7030

Record 4
Computed powder XRD pattern
Compound: LiPr2InPt6
Radiation: copper Kα
Structure: DFT lattice parameters and positions (GGA-PBE)
Lines closer than 0.1° are merged.

Largest 6 diffraction maxima, sorted by position, 5 to 70 degrees two-theta:
10.69 deg, rel. 49; 21.47 deg, rel. 80; 37.27 deg, rel. 96; 38.44 deg, rel. 31; 39.41 deg, rel. 100; 47.14 deg, rel. 37

Unit cell a=5.6797 b=5.6797 c=8.9016 alpha=108.56 beta=108.56 gamma=60.01
Fractional positions:
Li: 0.0000 0.0000 0.0000
Pr: 0.2054 0.2054 0.6165
Pr: 0.7946 0.7946 0.3835
In: 0.5000 0.5000 0.5000
Pt: 0.2386 0.7531 0.7455
Pt: 0.2470 0.2470 0.2543
Pt: 0.2469 0.7614 0.2545
Pt: 0.7531 0.2386 0.7455
Pt: 0.7530 0.7530 0.7457
Pt: 0.7614 0.2469 0.2545

Record 5
Computed powder XRD pattern
Compound: KLiThTe3
Radiation: copper Kα
Structure: DFT lattice parameters and positions (GGA-PBE)
Lines closer than 0.1° are merged.

Largest 6 diffraction maxima, sorted by position, 5 to 70 degrees two-theta:
8.97 deg, rel. 40; 11.08 deg, rel. 90; 21.47 deg, rel. 31; 26.84 deg, rel. 100; 27.08 deg, rel. 86; 41.39 deg, rel. 34

Unit cell a=9.8238 b=4.6019 c=10.2430 alpha=90.00 beta=105.63 gamma=90.00
Fractional positions:
K: 0.1986 0.2500 0.2504
K: 0.8014 0.7500 0.7496
Li: 0.0810 0.2500 0.5917
Li: 0.9190 0.7500 0.4083
Th: 0.3202 0.7500 0.8389
Th: 0.6798 0.2500 0.1611
Te: 0.1166 0.2500 0.8729
Te: 0.2121 0.7500 0.5303
Te: 0.4559 0.7500 0.1630
Te: 0.5441 0.2500 0.8370
Te: 0.7879 0.2500 0.4697
Te: 0.8834 0.7500 0.1271

Record 6
Computed powder XRD pattern
Compound: Mg3BeNi9P2
Radiation: copper Kα
Structure: DFT lattice parameters and positions (GGA-PBE)
Lines closer than 0.1° are merged.

Largest 6 diffraction maxima, sorted by position, 5 to 70 degrees two-theta:
21.62 deg, rel. 42; 37.85 deg, rel. 100; 38.10 deg, rel. 29; 44.06 deg, rel. 93; 63.90 deg, rel. 25; 64.24 deg, rel. 21

Unit cell a=5.8275 b=5.8275 c=7.0860 alpha=90.00 beta=90.00 gamma=120.00
Fractional positions:
Mg: 0.0000 0.0000 0.0000
Mg: 0.3333 0.6667 0.6503
Mg: 0.6667 0.3333 0.3497
Be: 0.0000 0.0000 0.5000
Ni: 0.0000 0.5000 0.0000
Ni: 0.1428 0.2857 0.2991
Ni: 0.1428 0.8572 0.2991
Ni: 0.2857 0.1428 0.7009
Ni: 0.5000 0.0000 0.0000
Ni: 0.5000 0.5000 0.0000
Ni: 0.7143 0.8572 0.2991
Ni: 0.8572 0.1428 0.7009
Ni: 0.8572 0.7143 0.7009
P: 0.3333 0.6667 0.1923
P: 0.6667 0.3333 0.8077

Record 7
Computed powder XRD pattern
Compound: SrY2Hg2
Radiation: copper Kα
Structure: DFT lattice parameters and positions (GGA-PBE)
Lines closer than 0.1° are merged.

Largest 6 diffraction maxima, sorted by position, 5 to 70 degrees two-theta:
19.62 deg, rel. 95; 29.35 deg, rel. 100; 36.99 deg, rel. 72; 37.25 deg, rel. 88; 37.63 deg, rel. 81; 53.99 deg, rel. 61

Unit cell a=7.7646 b=7.7646 c=7.7646 alpha=144.14 beta=144.14 gamma=51.62
Fractional positions:
Sr: 0.0000 0.0000 0.0000
Y: 0.2500 0.7500 0.5000
Y: 0.7500 0.2500 0.5000
Hg: 0.3965 0.3965 0.0000
Hg: 0.6035 0.6035 0.0000